The following is a calculated X-ray powder pattern of SrV2CrO8. It was derived from a structure optimized by DFT (GGA+U), using λ = 1.5418 Å (Cu Kα).
Lines closer than 0.1° are merged.

The 10 most intense peaks (10 to 80 degrees two-theta), most intense first:
2θ (°), I/Imax
24.8, 100
33.8, 53
49.8, 53
62.6, 17
51.0, 16
35.4, 13
74.0, 11
65.5, 10
57.5, 10
40.5, 9

Cell and atoms:
Cell lengths 5.9439, 5.9439, 5.9439 Å; angles 105.86, 105.86, 116.97 degrees
Sites, in units of the cell vectors:
Sr: 0.0000 0.0000 0.0000
V: 0.2500 0.7500 0.5000
V: 0.5000 0.5000 0.0000
Cr: 0.7500 0.2500 0.5000
O: 0.0498 0.3803 0.3305
O: 0.0498 0.7193 0.6695
O: 0.1380 0.3394 0.7986
O: 0.2807 0.9502 0.3305
O: 0.5408 0.3394 0.2014
O: 0.6197 0.9502 0.6695
O: 0.6606 0.4592 0.7986
O: 0.6606 0.8620 0.2014